Structure and computed PXRD pattern of Sc2FeB2RuRh4 (a PBE-relaxed structure; copper Kα).

Structural model:
```
data_Sc2FeB2RuRh4
_cell_length_a 9.369
_cell_length_b 9.369
_cell_length_c 3.033
_cell_angle_alpha 90.00
_cell_angle_beta 90.00
_cell_angle_gamma 90.00
_space_group_name_H-M_alt 'P 1'
_space_group_IT_number 1
loop_
_space_group_symop_operation_xyz
'x,y,z'
loop_
_atom_site_label
_atom_site_type_symbol
_atom_site_fract_x
_atom_site_fract_y
_atom_site_fract_z
Sc1 Sc 0.174 0.326 0.000
Sc2 Sc 0.326 0.826 0.000
Sc3 Sc 0.674 0.174 0.000
Sc4 Sc 0.826 0.674 0.000
Fe1 Fe 0.000 0.000 0.000
Fe2 Fe 0.500 0.500 0.000
B1 B 0.123 0.623 0.000
B2 B 0.377 0.123 0.000
B3 B 0.623 0.877 0.000
B4 B 0.877 0.377 0.000
Ru1 Ru 0.000 0.500 0.500
Ru2 Ru 0.500 0.000 0.500
Rh1 Rh 0.071 0.785 0.500
Rh2 Rh 0.215 0.071 0.500
Rh3 Rh 0.285 0.571 0.500
Rh4 Rh 0.429 0.285 0.500
Rh5 Rh 0.571 0.715 0.500
Rh6 Rh 0.715 0.429 0.500
Rh7 Rh 0.785 0.929 0.500
Rh8 Rh 0.929 0.215 0.500
```

The 12 most intense peaks (10 to 80 degrees two-theta), by angle:
h k l	d [Å]	I_rel
0 0 1	3.033	45
3 2 0	2.599	35
2 1 1	2.457	48
4 1 0	2.272	74
2 2 1	2.237	29
3 1 1	2.119	100
4 2 0	2.095	45
3 2 1	1.973	46
4 1 1	1.819	25
0 0 2	1.516	20
4 1 2	1.261	21
7 1 1	1.214	33